[1]
RbLi7Si2O8: computed PXRD pattern (λ = 1.5418 Å (Cu Kα)), based on DFT lattice parameters and positions (GGA-PBE).

The 10 most intense peaks (2θ from 10° to 90°), low angle first:
d = 7.883 Å, 2θ = 11.22°, rel. 96; d = 3.631 Å, 2θ = 24.51°, rel. 30; d = 3.532 Å, 2θ = 25.21°, rel. 73; d = 3.517 Å, 2θ = 25.33°, rel. 69; d = 3.216 Å, 2θ = 27.74°, rel. 54; d = 2.785 Å, 2θ = 32.13°, rel. 76; d = 2.492 Å, 2θ = 36.04°, rel. 100; d = 2.380 Å, 2θ = 37.79°, rel. 90; d = 2.371 Å, 2θ = 37.95°, rel. 84; d = 1.608 Å, 2θ = 57.30°, rel. 27

Atomic structure:
```
data_RbLi7Si2O8
_chemical_formula_sum 'Rb2 Li14 Si4 O16'
_space_group_name_H-M_alt 'P 1'
_space_group_IT_number 1
_cell_length_a 8.5386
_cell_length_b 8.5386
_cell_length_c 7.8534
_cell_angle_alpha 90.57
_cell_angle_beta 90.57
_cell_angle_gamma 44.25
loop_
_space_group_symop_operation_xyz
'x,y,z'
loop_
_atom_site_label
_atom_site_type_symbol
_atom_site_fract_x
_atom_site_fract_y
_atom_site_fract_z
Rb1 Rb 0.2448 0.2448 0.4699
Rb2 Rb 0.7552 0.7552 0.5301
Li1 Li 0.0000 0.0000 0.0000
Li2 Li 0.0673 0.0673 0.2890
Li3 Li 0.0727 0.5580 0.8681
Li4 Li 0.1856 0.6765 0.3674
Li5 Li 0.3235 0.8144 0.6326
Li6 Li 0.3571 0.3571 0.1344
Li7 Li 0.4420 0.9273 0.1319
Li8 Li 0.5000 0.5000 0.0000
Li9 Li 0.5580 0.0727 0.8681
Li10 Li 0.6429 0.6429 0.8656
Li11 Li 0.6765 0.1856 0.3674
Li12 Li 0.8144 0.3235 0.6326
Li13 Li 0.9273 0.4420 0.1319
Li14 Li 0.9327 0.9327 0.7110
Si1 Si 0.1466 0.1466 0.8605
Si2 Si 0.4292 0.4292 0.7065
Si3 Si 0.5708 0.5708 0.2935
Si4 Si 0.8534 0.8534 0.1395
O1 O 0.0208 0.5873 0.1940
O2 O 0.0525 0.0525 0.7640
O3 O 0.1280 0.1280 0.0682
O4 O 0.1849 0.6174 0.6062
O5 O 0.3826 0.8151 0.3938
O6 O 0.3843 0.3843 0.8967
O7 O 0.4127 0.9792 0.8060
O8 O 0.4679 0.4679 0.2507
O9 O 0.5321 0.5321 0.7493
O10 O 0.5873 0.0208 0.1940
O11 O 0.6157 0.6157 0.1033
O12 O 0.6174 0.1849 0.6062
O13 O 0.8151 0.3826 0.3938
O14 O 0.8720 0.8720 0.9318
O15 O 0.9475 0.9475 0.2360
O16 O 0.9792 0.4127 0.8060
```

***

[2]
RbLi2Ta2O7: computed PXRD pattern (λ = 1.5418 Å (Cu Kα)), based on DFT lattice parameters and positions (GGA-PBE).

The 10 most intense peaks (2θ from 10° to 90°), low angle first:
d = 4.603 Å, 2θ = 19.28°, rel. 46; d = 3.931 Å, 2θ = 22.62°, rel. 68; d = 3.365 Å, 2θ = 26.49°, rel. 100; d = 2.845 Å, 2θ = 31.44°, rel. 63; d = 2.717 Å, 2θ = 32.97°, rel. 88; d = 2.012 Å, 2θ = 45.06°, rel. 43; d = 1.790 Å, 2θ = 51.02°, rel. 41; d = 1.727 Å, 2θ = 53.03°, rel. 30; d = 1.617 Å, 2θ = 56.96°, rel. 36; d = 1.113 Å, 2θ = 87.65°, rel. 30

Atomic structure:
```
data_RbLi2Ta2O7
_chemical_formula_sum 'Rb1 Li2 Ta2 O7'
_space_group_name_H-M_alt 'P 1'
_space_group_IT_number 1
_cell_length_a 9.6358
_cell_length_b 9.6358
_cell_length_c 9.6358
_cell_angle_alpha 155.90
_cell_angle_beta 155.90
_cell_angle_gamma 34.35
loop_
_space_group_symop_operation_xyz
'x,y,z'
loop_
_atom_site_label
_atom_site_type_symbol
_atom_site_fract_x
_atom_site_fract_y
_atom_site_fract_z
Rb1 Rb 0.0000 0.0000 0.0000
Li1 Li 0.2500 0.7500 0.5000
Li2 Li 0.7500 0.2500 0.5000
Ta1 Ta 0.3836 0.3836 0.0000
Ta2 Ta 0.6164 0.6164 0.0000
O1 O 0.1129 0.6129 0.5000
O2 O 0.2805 0.2805 0.0000
O3 O 0.3871 0.8871 0.5000
O4 O 0.5000 0.5000 0.0000
O5 O 0.6129 0.1129 0.5000
O6 O 0.7195 0.7195 0.0000
O7 O 0.8871 0.3871 0.5000
```

***

[3]
RbLiTcO4: computed PXRD pattern (λ = 1.5418 Å (Cu Kα)), based on DFT lattice parameters and positions (GGA-PBE).

The 10 most intense peaks (2θ from 10° to 90°), low angle first:
d = 4.836 Å, 2θ = 18.35°, rel. 100; d = 2.970 Å, 2θ = 30.09°, rel. 57; d = 2.945 Å, 2θ = 30.35°, rel. 21; d = 2.546 Å, 2θ = 35.25°, rel. 15; d = 2.515 Å, 2θ = 35.70°, rel. 33; d = 1.926 Å, 2θ = 47.18°, rel. 15; d = 1.719 Å, 2θ = 53.28°, rel. 12; d = 1.705 Å, 2θ = 53.76°, rel. 21; d = 1.604 Å, 2θ = 57.45°, rel. 8; d = 1.485 Å, 2θ = 62.55°, rel. 8

Atomic structure:
```
data_RbLiTcO4
_chemical_formula_sum 'Rb2 Li2 Tc2 O8'
_space_group_name_H-M_alt 'P 1'
_space_group_IT_number 1
_cell_length_a 5.8901
_cell_length_b 5.8901
_cell_length_c 8.4717
_cell_angle_alpha 90.00
_cell_angle_beta 90.00
_cell_angle_gamma 90.00
loop_
_space_group_symop_operation_xyz
'x,y,z'
loop_
_atom_site_label
_atom_site_type_symbol
_atom_site_fract_x
_atom_site_fract_y
_atom_site_fract_z
Rb1 Rb 0.0000 0.0000 0.0000
Rb2 Rb 0.5000 0.5000 0.5000
Li1 Li 0.0000 0.0000 0.5000
Li2 Li 0.5000 0.5000 0.0000
Tc1 Tc 0.0000 0.5000 0.7500
Tc2 Tc 0.5000 0.0000 0.2500
O1 O 0.0932 0.2694 0.6283
O2 O 0.2306 0.5932 0.8717
O3 O 0.2694 0.9068 0.3717
O4 O 0.4068 0.2306 0.1283
O5 O 0.5932 0.7694 0.1283
O6 O 0.7306 0.0932 0.3717
O7 O 0.7694 0.4068 0.8717
O8 O 0.9068 0.7306 0.6283
```

***

[4]
Rb2LiTe2O6: computed PXRD pattern (λ = 1.5418 Å (Cu Kα)), based on DFT lattice parameters and positions (GGA-PBE).

The 10 most intense peaks (2θ from 10° to 90°), low angle first:
d = 5.447 Å, 2θ = 16.27°, rel. 100; d = 4.880 Å, 2θ = 18.18°, rel. 75; d = 4.028 Å, 2θ = 22.07°, rel. 90; d = 3.460 Å, 2θ = 25.75°, rel. 56; d = 2.954 Å, 2θ = 30.26°, rel. 65; d = 2.938 Å, 2θ = 30.43°, rel. 40; d = 2.887 Å, 2θ = 30.98°, rel. 58; d = 2.822 Å, 2θ = 31.70°, rel. 41; d = 2.302 Å, 2θ = 39.13°, rel. 37; d = 2.239 Å, 2θ = 40.27°, rel. 45

Atomic structure:
```
data_Rb2LiTe2O6
_chemical_formula_sum 'Rb2 Li1 Te2 O6'
_space_group_name_H-M_alt 'P 1'
_space_group_IT_number 1
_cell_length_a 6.0114
_cell_length_b 6.0114
_cell_length_c 8.9674
_cell_angle_alpha 111.05
_cell_angle_beta 111.05
_cell_angle_gamma 70.27
loop_
_space_group_symop_operation_xyz
'x,y,z'
loop_
_atom_site_label
_atom_site_type_symbol
_atom_site_fract_x
_atom_site_fract_y
_atom_site_fract_z
Rb1 Rb 0.2455 0.2455 0.1848
Rb2 Rb 0.7545 0.7545 0.8152
Li1 Li 0.5000 0.5000 0.0000
Te1 Te 0.0893 0.0893 0.7198
Te2 Te 0.9107 0.9107 0.2802
O1 O 0.2131 0.7834 0.2315
O2 O 0.2166 0.7869 0.7685
O3 O 0.2870 0.2870 0.8901
O4 O 0.7130 0.7130 0.1099
O5 O 0.7834 0.2131 0.2315
O6 O 0.7869 0.2166 0.7685
```